No. 1
Diffraction record for MgGaRh2. The powder X-ray diffraction pattern is theoretical, not measured: it uses a cell relaxed with PBE and λ = 1.5418 Å (Cu Kα).
Lines closer than 0.1° are merged.

Most intense lines, 2θ from 10° to 80°, by angle:
Position (°2θ)  I_rel  hkl
25.17  6  1 1 1
29.14  18  2 0 0
41.68  100  2 2 0
49.32  3  3 1 1
51.67  5  2 2 2
60.42  16  4 0 0
68.46  6  4 2 0
76.08  32  4 2 2

Cell and atoms:
```
data_MgGaRh2
_space_group_name_H-M_alt 'F m -3 m'
_space_group_IT_number 225
_space_group_name_Hall '-F 4 2 3'
_cell_length_a 6.1287
_cell_length_b 6.1287
_cell_length_c 6.1287
_cell_angle_alpha 90.00
_cell_angle_beta 90.00
_cell_angle_gamma 90.00
loop_
_atom_site_label
_atom_site_type_symbol
_atom_site_fract_x
_atom_site_fract_y
_atom_site_fract_z
_atom_site_occupancy
Mg1 Mg 0.0000 0.0000 0.0000 1
Ga1 Ga 0.0000 0.0000 0.5000 1
Rh1 Rh 0.2500 0.2500 0.2500 1
```

=====

No. 2
Diffraction record for CeGaO3. The powder X-ray diffraction pattern is theoretical, not measured: it uses a cell relaxed with PBE and λ = 1.5418 Å (Cu Kα).
Lines closer than 0.1° are merged.

Most intense lines, 2θ from 10° to 80°, by angle:
Position (°2θ)  I_rel  hkl
32.03  23  2 0 0
32.25  100  1 2 1
32.61  24  0 0 2
46.14  15  0 4 0
46.36  25  2 0 2
57.24  25  2 4 0
57.96  22  1 2 3
67.48  14  2 4 2

Cell and atoms:
```
data_CeGaO3
_space_group_name_H-M_alt 'P n m a'
_space_group_IT_number 62
_cell_length_a 5.5887
_cell_length_b 7.8694
_cell_length_c 5.4919
_cell_angle_alpha 90.00
_cell_angle_beta 90.00
_cell_angle_gamma 90.00
loop_
_space_group_symop_operation_xyz
'x,y,z'
'-x,-y,-z'
'-x+1/2,-y,z+1/2'
'x+1/2,y,-z+1/2'
'x+1/2,-y+1/2,-z+1/2'
'-x+1/2,y+1/2,z+1/2'
'-x,y+1/2,-z'
'x,-y+1/2,z'
loop_
_atom_site_label
_atom_site_type_symbol
_atom_site_fract_x
_atom_site_fract_y
_atom_site_fract_z
_atom_site_occupancy
Ce1 Ce 0.0391 0.2500 0.0102 1
Ga1 Ga 0.0000 0.0000 0.5000 1
O1 O 0.0182 0.7500 0.4183 1
O2 O 0.2098 0.5433 0.7902 1
```